Structure and simulated powder X-ray diffraction pattern of RbW4O12 (a crystal structure in the Materials Project, relaxed with PBE+U; Cu Kα X-rays).

Principal peaks in the range 10° ≤ 2θ ≤ 80°, in order of rising 2θ:
d [Å]  2θ (°)  Rel. int.
6.514  13.59  30
3.872  22.97  38
3.328  26.78  32
3.257  27.38  100
2.698  33.21  18
2.493  36.03  39
1.881  48.40  25
1.692  54.23  17
1.664  55.19  28
1.349  69.71  16

a = 10.796 Å, b = 10.796 Å, c = 10.796 Å
α = 139.22°, β = 105.78°, γ = 88.33°
Fractional coordinates of all 51 atoms:
Rb1 0.000 0.000 0.000
Rb2 0.260 0.260 0.000
Rb3 0.740 0.740 0.000
W1 0.124 0.124 0.498
W2 0.124 0.626 0.000
W3 0.125 0.625 0.500
W4 0.374 0.374 0.498
W5 0.374 0.876 0.000
W6 0.376 0.876 0.500
W7 0.624 0.124 0.500
W8 0.626 0.124 0.000
W9 0.626 0.626 0.502
W10 0.875 0.375 0.500
W11 0.876 0.374 0.000
W12 0.876 0.876 0.502
O1 0.000 0.000 0.500
O2 0.000 0.500 0.000
O3 0.000 0.500 0.500
O4 0.019 0.440 0.210
O5 0.019 0.809 0.579
O6 0.085 0.875 0.210
O7 0.161 0.374 0.787
O8 0.230 0.440 0.421
O9 0.230 0.809 0.790
O10 0.250 0.250 0.499
O11 0.250 0.750 0.000
O12 0.250 0.750 0.500
O13 0.268 0.056 0.575
O14 0.268 0.692 0.211
O15 0.335 0.125 0.210
O16 0.413 0.626 0.787
O17 0.481 0.056 0.789
O18 0.481 0.692 0.425
O19 0.500 0.000 0.000
O20 0.500 0.000 0.500
O21 0.500 0.500 0.500
O22 0.519 0.308 0.575
O23 0.519 0.944 0.211
O24 0.587 0.374 0.213
O25 0.665 0.875 0.790
O26 0.732 0.308 0.789
O27 0.732 0.944 0.425
O28 0.750 0.250 0.000
O29 0.750 0.250 0.500
O30 0.750 0.750 0.501
O31 0.770 0.191 0.210
O32 0.770 0.560 0.579
O33 0.839 0.626 0.213
O34 0.915 0.125 0.790
O35 0.981 0.191 0.421
O36 0.981 0.560 0.790


Structure and simulated powder X-ray diffraction pattern of Rb2W3O12 (a crystal structure in the Materials Project, relaxed with PBE+U; Cu Kα X-rays).

Principal peaks in the range 10° ≤ 2θ ≤ 80°, in order of rising 2θ:
d [Å]  2θ (°)  Rel. int.
5.772  15.35  69
5.152  17.21  25
3.588  24.82  31
3.152  28.31  100
3.116  28.65  42
3.047  29.31  19
3.006  29.72  57
1.958  46.36  21
1.851  49.23  30
1.794  50.91  27

a = 7.182 Å, b = 7.182 Å, c = 7.182 Å
α = 62.05°, β = 62.05°, γ = 62.05°
Fractional coordinates of all 17 atoms:
Rb1 0.126 0.126 0.126
Rb2 0.874 0.874 0.874
W1 0.000 0.500 0.500
W2 0.500 0.000 0.500
W3 0.500 0.500 0.000
O1 0.183 0.566 0.566
O2 0.184 0.184 0.561
O3 0.184 0.561 0.184
O4 0.434 0.434 0.817
O5 0.434 0.817 0.434
O6 0.439 0.816 0.816
O7 0.561 0.184 0.184
O8 0.566 0.183 0.566
O9 0.566 0.566 0.183
O10 0.816 0.439 0.816
O11 0.816 0.816 0.439
O12 0.817 0.434 0.434